[1]
Structure and theoretical powder X-ray diffraction pattern of Gd3Bi2O8 (a structure optimized by DFT (PBE); Cu Kα (λ = 1.5418 Å)).
Neutral-atom scattering factors, no anomalous dispersion.

```
data_Gd3Bi2O8
_space_group_name_H-M_alt 'P 1'
_space_group_IT_number 1
_space_group_name_Hall 'P 1'
_cell_length_a 6.860
_cell_length_b 6.860
_cell_length_c 9.661
_cell_angle_alpha 119.08
_cell_angle_beta 119.08
_cell_angle_gamma 31.94
loop_
_atom_site_label
_atom_site_type_symbol
_atom_site_fract_x
_atom_site_fract_y
_atom_site_fract_z
Gd1 Gd 0.000 0.000 0.000
Gd2 Gd 0.169 0.169 0.753
Gd3 Gd 0.556 0.556 0.376
Bi1 Bi 0.382 0.382 0.619
Bi2 Bi 0.778 0.778 0.183
O1 O 0.175 0.175 0.505
O2 O 0.196 0.196 0.016
O3 O 0.358 0.358 0.345
O4 O 0.373 0.373 0.862
O5 O 0.586 0.586 0.639
O6 O 0.603 0.603 0.168
O7 O 0.952 0.952 0.200
O8 O 0.976 0.976 0.741
```

Principal peaks in the range 5 to 70 degrees two-theta, in order of falling intensity:
2θ = 28.6°, I = 100
2θ = 27.5°, I = 54
2θ = 32.7°, I = 50
2θ = 27.7°, I = 48
2θ = 46.6°, I = 29
2θ = 56.5°, I = 29
2θ = 46.8°, I = 27
2θ = 32.4°, I = 23
2θ = 54.8°, I = 20
2θ = 48.2°, I = 19
2θ = 45.6°, I = 14
2θ = 54.6°, I = 13

---

[2]
Structure and theoretical powder X-ray diffraction pattern of GdPaBiTe (a structure optimized by DFT (PBE); Cu Kα (λ = 1.5418 Å)).
Neutral-atom scattering factors, no anomalous dispersion.

```
data_GdPaBiTe
_space_group_name_H-M_alt 'P 1'
_space_group_IT_number 1
_space_group_name_Hall 'P 1'
_cell_length_a 5.404
_cell_length_b 5.404
_cell_length_c 5.404
_cell_angle_alpha 60.00
_cell_angle_beta 60.00
_cell_angle_gamma 60.00
loop_
_atom_site_label
_atom_site_type_symbol
_atom_site_fract_x
_atom_site_fract_y
_atom_site_fract_z
Gd1 Gd 0.000 0.000 0.000
Pa1 Pa 0.500 0.500 0.500
Bi1 Bi 0.250 0.250 0.250
Te1 Te 0.750 0.750 0.750
```

Principal peaks in the range 5 to 70 degrees two-theta, in order of falling intensity:
2θ = 33.2°, I = 100
2θ = 59.2°, I = 39
2θ = 47.6°, I = 18
2θ = 69.6°, I = 12
2θ = 20.1°, I = 5
2θ = 39.1°, I = 3
2θ = 52.2°, I = 1
2θ = 63.2°, I = 1
2θ = 23.3°, I = 1

---

[3]
Structure and theoretical powder X-ray diffraction pattern of GdBi2Rh (a structure optimized by DFT (PBE); Cu Kα (λ = 1.5418 Å)).
Neutral-atom scattering factors, no anomalous dispersion.

```
data_GdBi2Rh
_space_group_name_H-M_alt 'P 1'
_space_group_IT_number 1
_space_group_name_Hall 'P 1'
_cell_length_a 10.406
_cell_length_b 10.406
_cell_length_c 10.406
_cell_angle_alpha 19.64
_cell_angle_beta 19.64
_cell_angle_gamma 19.64
loop_
_atom_site_label
_atom_site_type_symbol
_atom_site_fract_x
_atom_site_fract_y
_atom_site_fract_z
Gd1 Gd 0.000 0.000 0.000
Bi1 Bi 0.105 0.105 0.105
Bi2 Bi 0.895 0.895 0.895
Rh1 Rh 0.500 0.500 0.500
```

Principal peaks in the range 5 to 70 degrees two-theta, in order of falling intensity:
2θ = 41.6°, I = 100
2θ = 29.2°, I = 84
2θ = 29.6°, I = 77
2θ = 37.5°, I = 69
2θ = 32.6°, I = 58
2θ = 51.5°, I = 57
2θ = 26.2°, I = 49
2θ = 8.7°, I = 39
2θ = 58.7°, I = 33
2θ = 65.4°, I = 27
2θ = 68.3°, I = 24
2θ = 68.5°, I = 20

---

[4]
Structure and theoretical powder X-ray diffraction pattern of TbGdBi2 (a structure optimized by DFT (PBE); Cu Kα (λ = 1.5418 Å)).
Neutral-atom scattering factors, no anomalous dispersion.

```
data_TbGdBi2
_space_group_name_H-M_alt 'P 1'
_space_group_IT_number 1
_space_group_name_Hall 'P 1'
_cell_length_a 7.804
_cell_length_b 7.804
_cell_length_c 7.804
_cell_angle_alpha 33.56
_cell_angle_beta 33.56
_cell_angle_gamma 33.56
loop_
_atom_site_label
_atom_site_type_symbol
_atom_site_fract_x
_atom_site_fract_y
_atom_site_fract_z
Tb1 Tb 0.000 0.000 0.000
Gd1 Gd 0.500 0.500 0.500
Bi1 Bi 0.250 0.250 0.250
Bi2 Bi 0.750 0.750 0.750
```

Principal peaks in the range 5 to 70 degrees two-theta, in order of falling intensity:
2θ = 28.0°, I = 100
2θ = 40.0°, I = 78
2θ = 65.5°, I = 37
2θ = 49.6°, I = 29
2θ = 57.9°, I = 14
2θ = 24.2°, I = 3
2θ = 47.3°, I = 2
2θ = 63.6°, I = 1